Entry 1:
This entry pairs a crystal structure of Sr3Li2Sn4 with its simulated powder XRD pattern. Radiation: Cu Kα X-rays. Structure: a cell relaxed with PBE.
No peak broadening, texture or thermal motion is included.

Principal peaks in the range 10° ≤ 2θ ≤ 90°, most intense first:
d (Å), 2theta, I (rel.)
3.058, 29.20, 100
3.028, 29.50, 33
2.387, 37.68, 27
2.417, 37.19, 24
1.886, 48.24, 13
5.567, 15.92, 12
2.997, 29.81, 11
4.465, 19.89, 11
1.390, 67.39, 11
1.492, 62.22, 11

Crystal structure
abc: 6.4810 6.4810 9.4484
angles: 102.87 102.87 43.80
Atoms (fractional coordinates):
Sr (0.0000, 0.0000, 0.0000)
Sr (0.3749, 0.3749, 0.3076)
Sr (0.6251, 0.6251, 0.6924)
Li (0.3114, 0.3114, 0.6369)
Li (0.6886, 0.6886, 0.3631)
Sn (0.0867, 0.0867, 0.4122)
Sn (0.2875, 0.2875, 0.9282)
Sn (0.7125, 0.7125, 0.0718)
Sn (0.9133, 0.9133, 0.5878)



Entry 2:
This entry pairs a crystal structure of SrLiSn4 with its simulated powder XRD pattern. Radiation: Cu Kα X-rays. Structure: a cell relaxed with PBE.
No peak broadening, texture or thermal motion is included.

Principal peaks in the range 10° ≤ 2θ ≤ 90°, most intense first:
d (Å), 2theta, I (rel.)
2.694, 33.26, 100
2.579, 34.78, 73
5.158, 17.19, 57
1.719, 53.28, 36
1.579, 58.43, 35
1.347, 69.83, 31
1.163, 83.02, 24
2.234, 40.38, 23
2.050, 44.19, 17
1.510, 61.39, 13

Crystal structure
abc: 6.3176 6.3176 6.3176
angles: 60.00 60.00 60.00
Atoms (fractional coordinates):
Sr (0.0000, 0.0000, 0.0000)
Li (0.7500, 0.7500, 0.7500)
Sn (0.3754, 0.3754, 0.3754)
Sn (0.3754, 0.3754, 0.8739)
Sn (0.3754, 0.8739, 0.3754)
Sn (0.8739, 0.3754, 0.3754)